Record 1
This entry pairs a crystal structure of MnNCl3 with its theoretical X-ray powder pattern. Radiation: λ = 1.5418 Å (Cu Kα). Structure: a crystal structure in the Materials Project, relaxed with GGA-PBE.
Intensities are scaled so that the largest is 100.

Largest 10 diffraction maxima, in order of falling intensity, 2θ = 10–90°:
h k l	Position (°2θ)	d (Å)	I_rel
1 0 0	19.7	4.504	100.0
2 0 0	40.0	2.252	73.1
2 2 0	57.9	1.593	42.5
2 1 0	45.0	2.014	41.2
1 1 1	34.5	2.601	20.6
3 0 0	61.8	1.501	18.7
1 1 0	28.0	3.185	15.3
2 2 2	72.7	1.300	13.5
4 1 0	89.8	1.092	10.7
3 2 0	76.2	1.249	7.9

Crystal structure
Cell lengths 4.5043, 4.5043, 4.5043 Å; angles 90.00, 90.00, 90.00 degrees
Space group Pm-3m (No. 221)
One atom of each set of equivalent atoms:
1 Mn 0.0000 0.0000 0.0000 [1 per cell]
2 N 0.5000 0.5000 0.5000 [1 per cell]
3 Cl 0.0000 0.0000 0.5000 [3 per cell]

Record 2
This entry pairs a crystal structure of SmPd2Pb with its theoretical X-ray powder pattern. Radiation: λ = 1.5418 Å (Cu Kα). Structure: a crystal structure in the Materials Project, relaxed with GGA-PBE.
Intensities are scaled so that the largest is 100.

Largest 10 diffraction maxima, in order of falling intensity, 2θ = 10–90°:
h k l	Position (°2θ)	d (Å)	I_rel
2 2 0	36.4	2.466	100.0
4 2 2	65.6	1.424	36.0
4 0 0	52.5	1.744	17.6
6 2 0	88.7	1.103	16.6
4 4 0	77.4	1.233	11.3
2 0 0	25.5	3.488	6.9
4 2 0	59.2	1.560	3.1
2 2 2	45.0	2.014	2.2
1 1 1	22.1	4.027	2.0
6 0 0	83.1	1.163	1.7

Crystal structure
Cell lengths 6.9751, 6.9751, 6.9751 Å; angles 90.00, 90.00, 90.00 degrees
Space group Fm-3m (No. 225)
One atom of each set of equivalent atoms:
1 Sm 0.0000 0.0000 0.0000 [4 per cell]
2 Pd 0.2500 0.2500 0.2500 [8 per cell]
3 Pb 0.0000 0.0000 0.5000 [4 per cell]

Record 3
This entry pairs a crystal structure of CaMg6V with its theoretical X-ray powder pattern. Radiation: λ = 1.5418 Å (Cu Kα). Structure: a crystal structure in the Materials Project, relaxed with GGA-PBE.
Intensities are scaled so that the largest is 100.

Largest 10 diffraction maxima, in order of falling intensity, 2θ = 10–90°:
h k l	Position (°2θ)	d (Å)	I_rel
1 2 2	36.2	2.480	100.0
1 0 4	36.4	2.466	48.7
2 0 0	34.3	2.612	38.7
0 2 2	31.8	2.818	25.6
3 2 2	62.7	1.481	18.1
2 2 6	68.1	1.376	18.1
0 2 6	56.9	1.619	16.2
2 2 2	47.5	1.916	15.6
0 0 4	32.0	2.798	13.1
1 4 4	69.0	1.360	12.8

Crystal structure
Cell lengths 5.2239, 6.5230, 11.1908 Å; angles 90.00, 90.00, 90.00 degrees
Space group Amm2 (No. 38)
One atom of each set of equivalent atoms:
1 Ca 0.0000 0.0000 0.0000 [2 per cell]
2 Mg 0.0000 0.2481 0.7478 [4 per cell]
3 Mg 0.5000 0.0000 0.3386 [2 per cell]
4 Mg 0.5000 0.0000 0.8281 [2 per cell]
5 Mg 0.5000 0.2347 0.5805 [4 per cell]
6 V 0.0000 0.0000 0.5001 [2 per cell]

Record 4
This entry pairs a crystal structure of MoPt3 with its theoretical X-ray powder pattern. Radiation: λ = 1.5418 Å (Cu Kα). Structure: a crystal structure in the Materials Project, relaxed with GGA-PBE.
Intensities are scaled so that the largest is 100.

Largest 10 diffraction maxima, in order of falling intensity, 2θ = 10–90°:
h k l	Position (°2θ)	d (Å)	I_rel
1 0 4	39.4	2.289	100.0
0 1 8	45.7	1.986	65.0
0 0 12	39.0	2.307	33.1
1 1 12	80.2	1.197	25.1
1 1 0	66.8	1.400	21.4
1 0 16	66.4	1.408	20.5
0 2 4	80.4	1.194	12.9
0 1 20	79.8	1.202	12.0
2 0 8	84.7	1.144	11.3
0 0 9	29.0	3.076	4.4

Crystal structure
Cell lengths 2.8002, 2.8002, 27.6825 Å; angles 90.00, 90.00, 120.00 degrees
Space group R-3m (No. 166, hexagonal axes)
One atom of each set of equivalent atoms:
1 Mo 0.0000 0.0000 0.0000 [3 per cell]
2 Pt 0.0000 0.0000 0.2533 [6 per cell]
3 Pt 0.0000 0.0000 0.5000 [3 per cell]

Record 5
This entry pairs a crystal structure of MoC8N4Cl7 with its theoretical X-ray powder pattern. Radiation: λ = 1.5418 Å (Cu Kα). Structure: a crystal structure in the Materials Project, relaxed with GGA-PBE.
Intensities are scaled so that the largest is 100.

Largest 10 diffraction maxima, in order of falling intensity, 2θ = 10–90°:
h k l	Position (°2θ)	d (Å)	I_rel
1 1 1	15.9	5.570	100.0
1 1 0	12.2	7.259	98.8
0 2 0	12.9	6.865	83.9
0 0 1	10.2	8.683	79.1
1 2 1	19.5	4.557	61.9
0 1 1	12.1	7.339	53.4
1 3 1	24.3	3.660	50.1
1 0 1	14.5	6.093	42.4
1 2 2	26.4	3.372	31.9
3 2 0	34.1	2.633	29.5

Crystal structure
Cell lengths 8.5527, 13.7299, 8.6834 Å; angles 90.00, 90.00, 90.00 degrees
Space group P2_12_12 (No. 18)
One atom of each set of equivalent atoms:
1 Mo 0.0000 0.0000 0.1172 [2 per cell]
2 C 0.0708 0.6756 0.8388 [4 per cell]
3 C 0.1693 0.6389 0.1054 [4 per cell]
4 C 0.2183 0.4555 0.4486 [4 per cell]
5 C 0.2292 0.7999 0.4116 [4 per cell]
6 N 0.1310 0.6517 0.9586 [4 per cell]
7 N 0.2287 0.3765 0.5292 [4 per cell]
8 Cl 0.0000 0.5000 0.4237 [2 per cell]
9 Cl 0.0932 0.1060 0.2934 [4 per cell]
10 Cl 0.1341 0.1052 0.8743 [4 per cell]
11 Cl 0.2156 0.9057 0.0594 [4 per cell]

Record 6
This entry pairs a crystal structure of CeCdAu2 with its theoretical X-ray powder pattern. Radiation: λ = 1.5418 Å (Cu Kα). Structure: a crystal structure in the Materials Project, relaxed with GGA-PBE.
Intensities are scaled so that the largest is 100.

Largest 9 diffraction maxima, in order of falling intensity, 2θ = 10–90°:
h k l	Position (°2θ)	d (Å)	I_rel
2 2 0	35.7	2.516	100.0
4 2 2	64.1	1.452	36.4
4 0 0	51.4	1.779	17.7
6 2 0	86.5	1.125	16.6
4 4 0	75.6	1.258	11.4
2 0 0	25.0	3.558	5.6
4 2 0	58.0	1.591	2.6
2 2 2	44.1	2.054	1.9
6 0 0	81.1	1.186	1.4

Crystal structure
Cell lengths 7.1157, 7.1157, 7.1157 Å; angles 90.00, 90.00, 90.00 degrees
Space group Fm-3m (No. 225)
One atom of each set of equivalent atoms:
1 Ce 0.0000 0.0000 0.0000 [4 per cell]
2 Cd 0.0000 0.0000 0.5000 [4 per cell]
3 Au 0.2500 0.2500 0.2500 [8 per cell]

Record 7
This entry pairs a crystal structure of MgH2 with its theoretical X-ray powder pattern. Radiation: λ = 1.5418 Å (Cu Kα). Structure: a crystal structure in the Materials Project, relaxed with GGA-PBE.
Intensities are scaled so that the largest is 100.

Largest 10 diffraction maxima, in order of falling intensity, 2θ = 10–90°:
h k l	Position (°2θ)	d (Å)	I_rel
1 2 1	32.5	2.754	100.0
2 0 0	37.8	2.379	16.2
0 0 2	36.6	2.453	15.4
0 4 0	38.6	2.330	14.5
1 6 1	66.1	1.414	11.6
3 2 1	65.0	1.435	11.5
2 0 2	53.7	1.707	11.1
2 4 0	55.2	1.664	10.9
0 4 2	54.3	1.689	10.6
1 2 3	63.4	1.468	10.5

Crystal structure
Cell lengths 4.7571, 9.3194, 4.9052 Å; angles 90.00, 90.00, 90.00 degrees
Space group Pbca (No. 61)
One atom of each set of equivalent atoms:
1 Mg 0.2306 0.1167 0.0307 [8 per cell]
2 H 0.0125 0.5261 0.7572 [8 per cell]
3 H 0.1661 0.7014 0.3834 [8 per cell]